1.
The following is a simulated powder X-ray diffraction pattern of KCd3Sb2. It was derived from a structure optimized by DFT (GGA-PBE), using Cu Kα, 1.54184 Å.
Neutral-atom scattering factors, no anomalous dispersion.

Structure:
```
data_KCd3Sb2
_chemical_formula_sum 'K2 Cd6 Sb4'
_cell_length_a 4.916
_cell_length_b 9.299
_cell_length_c 9.708
_cell_angle_alpha 115.23
_cell_angle_beta 101.28
_cell_angle_gamma 97.66
_space_group_name_H-M_alt 'P -1'
_space_group_IT_number 2
loop_
_space_group_symop_operation_xyz
'x,y,z'
'-x,-y,-z'
loop_
_atom_site_label
_atom_site_type_symbol
_atom_site_fract_x
_atom_site_fract_y
_atom_site_fract_z
K1 K 0.163 0.239 0.457
Cd1 Cd 0.124 0.471 0.183
Cd2 Cd 0.235 0.953 0.052
Cd3 Cd 0.347 0.263 0.894
Sb1 Sb 0.238 0.819 0.287
Sb2 Sb 0.392 0.682 0.782
```

Largest 10 diffraction maxima, in order of falling intensity, 15 to 90 degrees two-theta:
| two_theta | d [Å] | intensity |
| --- | --- | --- |
| 29.74 | 3.004 | 100.0 |
| 38.49 | 2.339 | 94.8 |
| 30.56 | 2.926 | 74.3 |
| 37.23 | 2.415 | 66.1 |
| 28.40 | 3.143 | 65.1 |
| 36.91 | 2.435 | 64.3 |
| 28.82 | 3.098 | 62.1 |
| 39.01 | 2.309 | 58.2 |
| 40.82 | 2.211 | 56.5 |
| 32.46 | 2.758 | 43.5 |

2.
The following is a simulated powder X-ray diffraction pattern of KCd2SiSe4. It was derived from a structure optimized by DFT (GGA-PBE), using Cu Kα, 1.54184 Å.
Neutral-atom scattering factors, no anomalous dispersion.

Structure:
```
data_KCd2SiSe4
_chemical_formula_sum 'K4 Cd8 Si4 Se16'
_cell_length_a 10.090
_cell_length_b 10.477
_cell_length_c 8.767
_cell_angle_alpha 90.00
_cell_angle_beta 90.00
_cell_angle_gamma 90.00
_space_group_name_H-M_alt 'F m m 2'
_space_group_IT_number 42
_space_group_name_Hall 'F 2 -2'
loop_
_atom_site_label
_atom_site_type_symbol
_atom_site_fract_x
_atom_site_fract_y
_atom_site_fract_z
K1 K 0.000 0.000 0.000
Cd1 Cd 0.250 0.250 0.263
Si1 Si 0.000 0.000 0.496
Se1 Se 0.000 0.186 0.635
Se2 Se 0.191 0.000 0.348
```

Largest 10 diffraction maxima, in order of falling intensity, 15 to 90 degrees two-theta:
| two_theta | d [Å] | intensity |
| --- | --- | --- |
| 26.95 | 3.309 | 100.0 |
| 26.51 | 3.362 | 63.3 |
| 48.51 | 1.877 | 46.7 |
| 44.10 | 2.054 | 35.0 |
| 44.91 | 2.018 | 28.9 |
| 34.24 | 2.619 | 28.3 |
| 35.59 | 2.522 | 27.4 |
| 20.26 | 4.383 | 27.2 |
| 28.91 | 3.089 | 27.1 |
| 29.70 | 3.008 | 23.6 |

3.
The following is a simulated powder X-ray diffraction pattern of K6Cd4Sn3Se13. It was derived from a structure optimized by DFT (GGA-PBE), using Cu Kα, 1.54184 Å.
Neutral-atom scattering factors, no anomalous dispersion.

Structure:
```
data_K6Cd4Sn3Se13
_chemical_formula_sum 'K18 Cd12 Sn9 Se39'
_cell_length_a 15.1410
_cell_length_b 15.1410
_cell_length_c 16.1416
_cell_angle_alpha 90.00
_cell_angle_beta 90.00
_cell_angle_gamma 120.00
_space_group_name_H-M_alt 'R 3 m'
_space_group_IT_number 160
_space_group_name_Hall 'R 3 -2"'
loop_
_atom_site_label
_atom_site_type_symbol
_atom_site_fract_x
_atom_site_fract_y
_atom_site_fract_z
K1 K 0.0502 0.5251 0.0000
K2 K 0.1901 0.3801 0.6479
Cd1 Cd 0.0000 0.0000 0.9998
Cd2 Cd 0.1981 0.0990 0.2084
Sn1 Sn 0.0255 0.5128 0.7411
Se1 Se 0.0000 0.0000 0.1623
Se2 Se 0.0006 0.2932 0.1559
Se3 Se 0.0971 0.1942 0.9439
Se4 Se 0.1697 0.0849 0.3716
```

Largest 10 diffraction maxima, in order of falling intensity, 15 to 90 degrees two-theta:
| two_theta | d [Å] | intensity |
| --- | --- | --- |
| 26.89 | 3.316 | 100.0 |
| 39.33 | 2.291 | 68.7 |
| 35.57 | 2.524 | 67.8 |
| 26.27 | 3.393 | 67.4 |
| 47.84 | 1.901 | 59.7 |
| 27.77 | 3.213 | 59.1 |
| 28.84 | 3.096 | 53.8 |
| 30.22 | 2.957 | 47.3 |
| 48.25 | 1.886 | 44.7 |
| 25.93 | 3.437 | 42.3 |

4.
The following is a simulated powder X-ray diffraction pattern of K2TiCdSe4. It was derived from a structure optimized by DFT (GGA-PBE), using Cu Kα, 1.54184 Å.
Neutral-atom scattering factors, no anomalous dispersion.

Structure:
```
data_K2TiCdSe4
_chemical_formula_sum 'K4 Ti2 Cd2 Se8'
_cell_length_a 10.517
_cell_length_b 9.626
_cell_length_c 7.444
_cell_angle_alpha 90.00
_cell_angle_beta 134.94
_cell_angle_gamma 90.00
_space_group_name_H-M_alt 'C 1 2 1'
_space_group_IT_number 5
loop_
_space_group_symop_operation_xyz
'x,y,z'
'-x,y,-z'
'x+1/2,y+1/2,z'
'-x+1/2,y+1/2,-z'
loop_
_atom_site_label
_atom_site_type_symbol
_atom_site_fract_x
_atom_site_fract_y
_atom_site_fract_z
K1 K 0.000 0.000 0.000
K2 K 0.000 0.250 0.500
Ti1 Ti 0.000 0.501 0.000
Cd1 Cd 0.000 0.751 0.500
Se1 Se 0.166 0.627 0.941
Se2 Se 0.226 0.376 0.392
```

Largest 10 diffraction maxima, in order of falling intensity, 15 to 90 degrees two-theta:
| two_theta | d [Å] | intensity |
| --- | --- | --- |
| 25.07 | 3.552 | 100.0 |
| 44.87 | 2.020 | 51.2 |
| 15.04 | 5.889 | 46.5 |
| 28.37 | 3.146 | 26.3 |
| 34.06 | 2.632 | 25.7 |
| 42.76 | 2.115 | 25.3 |
| 38.99 | 2.310 | 20.5 |
| 52.73 | 1.736 | 10.4 |
| 51.49 | 1.775 | 9.5 |
| 55.11 | 1.666 | 9.1 |

5.
The following is a simulated powder X-ray diffraction pattern of K2CdSi2. It was derived from a structure optimized by DFT (GGA-PBE), using Cu Kα, 1.54184 Å.
Neutral-atom scattering factors, no anomalous dispersion.

Structure:
```
data_K2CdSi2
_chemical_formula_sum 'K4 Cd2 Si4'
_cell_length_a 3.548
_cell_length_b 3.548
_cell_length_c 23.249
_cell_angle_alpha 90.00
_cell_angle_beta 90.00
_cell_angle_gamma 90.00
_space_group_name_H-M_alt 'I 4/m m m'
_space_group_IT_number 139
_space_group_name_Hall '-I 4 2'
loop_
_atom_site_label
_atom_site_type_symbol
_atom_site_fract_x
_atom_site_fract_y
_atom_site_fract_z
K1 K 0.000 0.000 0.121
Cd1 Cd 0.000 0.000 0.500
Si1 Si 0.000 0.500 0.250
```

Largest 10 diffraction maxima, in order of falling intensity, 15 to 90 degrees two-theta:
| two_theta | d [Å] | intensity |
| --- | --- | --- |
| 27.65 | 3.226 | 100.0 |
| 31.72 | 2.821 | 79.5 |
| 36.64 | 2.452 | 51.3 |
| 30.77 | 2.906 | 42.6 |
| 15.24 | 5.812 | 30.5 |
| 42.95 | 2.106 | 26.3 |
| 61.21 | 1.514 | 21.0 |
| 61.78 | 1.502 | 20.6 |
| 59.46 | 1.554 | 20.5 |
| 53.75 | 1.705 | 19.3 |

6.
The following is a simulated powder X-ray diffraction pattern of K2CdSi. It was derived from a structure optimized by DFT (GGA-PBE), using Cu Kα, 1.54184 Å.
Neutral-atom scattering factors, no anomalous dispersion.

Structure:
```
data_K2CdSi
_chemical_formula_sum 'K6 Cd3 Si3'
_cell_length_a 4.6175
_cell_length_b 4.6175
_cell_length_c 27.1216
_cell_angle_alpha 90.00
_cell_angle_beta 90.00
_cell_angle_gamma 120.00
_space_group_name_H-M_alt 'R 3 m'
_space_group_IT_number 160
_space_group_name_Hall 'R 3 -2"'
loop_
_atom_site_label
_atom_site_type_symbol
_atom_site_fract_x
_atom_site_fract_y
_atom_site_fract_z
K1 K 0.0000 0.0000 0.0000
K2 K 0.0000 0.0000 0.1722
Cd1 Cd 0.0000 0.0000 0.7527
Si1 Si 0.0000 0.0000 0.4193
```

Largest 10 diffraction maxima, in order of falling intensity, 15 to 90 degrees two-theta:
| two_theta | d [Å] | intensity |
| --- | --- | --- |
| 27.72 | 3.219 | 100.0 |
| 25.87 | 3.444 | 85.6 |
| 39.01 | 2.309 | 72.3 |
| 32.17 | 2.783 | 60.5 |
| 40.32 | 2.237 | 51.1 |
| 57.02 | 1.615 | 43.4 |
| 23.19 | 3.836 | 37.0 |
| 49.75 | 1.833 | 33.8 |
| 22.47 | 3.956 | 33.1 |
| 34.69 | 2.586 | 32.5 |